Diffraction record for Ta4Co2SnSe12. The X-ray powder pattern is calculated, not measured: it uses a PBE-relaxed structure and Cu Kα X-rays.
Lines closer than 0.1° are merged.

```
data_Ta4Co2SnSe12
_chemical_formula_sum 'Ta8 Co4 Sn2 Se24'
_space_group_name_H-M_alt 'C 1 2/m 1'
_space_group_IT_number 12
_space_group_name_Hall '-C 2y'
_cell_length_a 13.908
_cell_length_b 3.404
_cell_length_c 19.996
_cell_angle_alpha 90.00
_cell_angle_beta 106.07
_cell_angle_gamma 90.00
loop_
_atom_site_label
_atom_site_fract_x
_atom_site_fract_y
_atom_site_fract_z
Ta1 0.136 0.000 0.167
Ta2 0.246 0.000 0.410
Co1 0.233 0.500 0.292
Sn1 0.000 0.500 0.000
Se1 0.013 0.500 0.860
Se2 0.110 0.000 0.294
Se3 0.126 0.000 0.608
Se4 0.136 0.500 0.457
Se5 0.187 0.500 0.757
Se6 0.201 0.500 0.090
```

Principal peaks in the range 5° ≤ 2θ ≤ 70°, low angle first:
12.76 deg, d = 6.935 Å, rel. 100
13.25 deg, d = 6.682 Å, rel. 36
13.88 deg, d = 6.381 Å, rel. 27
27.75 deg, d = 3.215 Å, rel. 16
31.84 deg, d = 2.810 Å, rel. 21
32.86 deg, d = 2.725 Å, rel. 19
34.24 deg, d = 2.619 Å, rel. 29
35.24 deg, d = 2.547 Å, rel. 24
39.85 deg, d = 2.262 Å, rel. 25
48.42 deg, d = 1.880 Å, rel. 29